[1]
# HfTe2O4
Theoretical powder XRD pattern, Cu Kα, 1.54184 Å. Input: DFT lattice parameters and positions (PBE).
Lines closer than 0.1° are merged.

Atomic structure:
Unit cell a=6.404 b=6.404 c=6.404 alpha=117.40 beta=117.40 gamma=94.57
Fractional positions:
1 Hf 0.375 0.625 0.750
2 Hf 0.625 0.375 0.250
3 Te 0.000 0.000 0.000
4 Te 0.000 0.000 0.500
5 Te 0.000 0.500 0.000
6 Te 0.500 0.000 0.500
7 O 0.064 0.630 0.434
8 O 0.304 0.370 0.934
9 O 0.370 0.304 0.434
10 O 0.370 0.936 0.066
11 O 0.630 0.064 0.934
12 O 0.630 0.696 0.566
13 O 0.696 0.630 0.066
14 O 0.936 0.370 0.566

Principal peaks in the range 15 to 90 degrees two-theta, sorted by position:
Position (°2θ)	d (Å)	I/Imax
26.8	3.327	27
28.0	3.192	30
31.8	2.816	100
33.8	2.656	61
33.9	2.642	51
48.0	1.894	24
50.6	1.805	36
51.9	1.761	21
55.2	1.664	21
57.8	1.596	28

[2]
# ErTmMg
Theoretical powder XRD pattern, Cu Kα, 1.54184 Å. Input: DFT lattice parameters and positions (PBE).
Lines closer than 0.1° are merged.

Atomic structure:
Unit cell a=3.576 b=17.235 c=5.415 alpha=90.00 beta=90.00 gamma=90.00
Fractional positions:
1 Er 0.000 0.098 0.250
2 Er 0.000 0.902 0.750
3 Er 0.500 0.402 0.750
4 Er 0.500 0.598 0.250
5 Tm 0.000 0.226 0.750
6 Tm 0.000 0.774 0.250
7 Tm 0.500 0.274 0.250
8 Tm 0.500 0.726 0.750
9 Mg 0.000 0.437 0.250
10 Mg 0.000 0.563 0.750
11 Mg 0.500 0.063 0.750
12 Mg 0.500 0.937 0.250

Principal peaks in the range 15 to 90 degrees two-theta, sorted by position:
Position (°2θ)	d (Å)	I/Imax
19.4	4.585	13
25.4	3.501	17
26.4	3.371	26
31.1	2.872	19
33.1	2.707	31
33.9	2.648	100
35.4	2.537	22
46.1	1.970	13
59.6	1.551	20
65.1	1.432	13

[3]
# Er4CoB13
Theoretical powder XRD pattern, Cu Kα, 1.54184 Å. Input: DFT lattice parameters and positions (PBE).
Lines closer than 0.1° are merged.

Atomic structure:
Unit cell a=7.265 b=7.265 c=6.841 alpha=90.00 beta=90.00 gamma=90.00
Fractional positions:
1 Er 0.181 0.316 0.000
2 Er 0.184 0.319 0.500
3 Er 0.316 0.819 0.000
4 Er 0.319 0.816 0.500
5 Er 0.681 0.184 0.500
6 Er 0.684 0.181 0.000
7 Er 0.816 0.681 0.500
8 Er 0.819 0.684 0.000
9 Co 0.000 0.000 0.500
10 Co 0.500 0.500 0.000
11 B 0.000 0.000 0.000
12 B 0.039 0.830 0.245
13 B 0.039 0.830 0.755
14 B 0.090 0.590 0.250
15 B 0.090 0.590 0.750
16 B 0.170 0.039 0.245
17 B 0.170 0.039 0.755
18 B 0.330 0.539 0.255
19 B 0.330 0.539 0.745
20 B 0.410 0.090 0.250
21 B 0.410 0.090 0.750
22 B 0.461 0.330 0.255
23 B 0.461 0.330 0.745
24 B 0.500 0.500 0.500
25 B 0.539 0.670 0.255
26 B 0.539 0.670 0.745
27 B 0.590 0.910 0.250
28 B 0.590 0.910 0.750
29 B 0.670 0.461 0.255
30 B 0.670 0.461 0.745
31 B 0.830 0.961 0.245
32 B 0.830 0.961 0.755
33 B 0.910 0.410 0.250
34 B 0.910 0.410 0.750
35 B 0.961 0.170 0.245
36 B 0.961 0.170 0.755

Principal peaks in the range 15 to 90 degrees two-theta, sorted by position:
Position (°2θ)	d (Å)	I/Imax
24.5	3.633	40
26.1	3.420	59
27.5	3.249	97
36.1	2.490	41
38.2	2.356	100
47.7	1.907	28
51.9	1.762	38
53.5	1.711	28
59.0	1.566	40
77.8	1.227	23